Starting from a DFT-relaxed cell (GGA-PBE, Alexandria), the powder diffraction line list of Gd2LuPa was simulated for a wavelength of 1.5418 Å.
Kinematic intensities with the Lorentz-polarization factor, no thermal factor.

Main lines, low angle first (10° ≤ 2θ ≤ 90°):
31.73 deg, 2.820 Å, rel. 100
36.76 deg, 2.445 Å, rel. 34
36.87 deg, 2.438 Å, rel. 17
53.03 deg, 1.727 Å, rel. 36
63.08 deg, 1.474 Å, rel. 28
63.23 deg, 1.471 Å, rel. 14
66.29 deg, 1.410 Å, rel. 12
78.21 deg, 1.222 Å, rel. 4
86.85 deg, 1.121 Å, rel. 6
86.98 deg, 1.120 Å, rel. 12
89.72 deg, 1.093 Å, rel. 12
89.95 deg, 1.091 Å, rel. 6

Structural model:
```
Gd2LuPa
1.0
4.8892 0.0000 0.0000
0.0000 4.8892 0.0000
0.0000 0.0000 4.8752
Gd Lu Pa
2 1 1
Direct
0.0000 0.5000 0.0000
0.5000 0.0000 0.0000
0.0000 0.0000 0.5000
0.5000 0.5000 0.5000
```

=====

Starting from a DFT-relaxed cell (GGA-PBE, Alexandria), the powder diffraction line list of PrGdLu was simulated for a wavelength of 1.5418 Å.
Kinematic intensities with the Lorentz-polarization factor, no thermal factor.

Main lines, low angle first (10° ≤ 2θ ≤ 90°):
25.65 deg, 3.473 Å, rel. 5
31.44 deg, 2.845 Å, rel. 100
40.97 deg, 2.203 Å, rel. 8
45.07 deg, 2.011 Å, rel. 17
52.71 deg, 1.737 Å, rel. 4
55.94 deg, 1.644 Å, rel. 29
62.65 deg, 1.483 Å, rel. 15
65.53 deg, 1.425 Å, rel. 7
74.52 deg, 1.273 Å, rel. 8
80.41 deg, 1.194 Å, rel. 7
83.08 deg, 1.163 Å, rel. 3
88.85 deg, 1.101 Å, rel. 6

Structural model:
```
PrGdLu
1.0
5.6981 0.0000 0.0000
-2.8490 4.9347 0.0000
0.0000 0.0000 3.4734
Pr Gd Lu
1 1 1
Direct
0.0000 0.0000 0.0000
0.6667 0.3333 0.5013
0.3333 0.6667 0.4990
```

=====

Starting from a DFT-relaxed cell (GGA-PBE, Alexandria), the powder diffraction line list of GdLuTcRu was simulated for a wavelength of 1.5418 Å.
Kinematic intensities with the Lorentz-polarization factor, no thermal factor.

Main lines, low angle first (10° ≤ 2θ ≤ 90°):
26.27 deg, 3.393 Å, rel. 7
37.49 deg, 2.399 Å, rel. 100
46.35 deg, 1.959 Å, rel. 2
54.06 deg, 1.696 Å, rel. 17
61.07 deg, 1.517 Å, rel. 3
67.64 deg, 1.385 Å, rel. 35
79.99 deg, 1.200 Å, rel. 11
85.95 deg, 1.131 Å, rel. 1

Structural model:
```
GdLuTcRu
1.0
0.0000 3.3927 3.3927
3.3927 0.0000 3.3927
3.3927 3.3927 0.0000
Gd Lu Tc Ru
1 1 1 1
Direct
0.0000 0.0000 0.0000
0.5000 0.5000 0.5000
0.7500 0.7500 0.7500
0.2500 0.2500 0.2500
```

=====

Starting from a DFT-relaxed cell (GGA-PBE, Alexandria), the powder diffraction line list of SmGdLu was simulated for a wavelength of 1.5418 Å.
Kinematic intensities with the Lorentz-polarization factor, no thermal factor.

Main lines, low angle first (10° ≤ 2θ ≤ 90°):
30.70 deg, 2.912 Å, rel. 56
32.02 deg, 2.796 Å, rel. 100
43.98 deg, 2.059 Å, rel. 21
47.78 deg, 1.904 Å, rel. 8
55.42 deg, 1.658 Å, rel. 43
57.87 deg, 1.593 Å, rel. 18
63.94 deg, 1.456 Å, rel. 7
66.94 deg, 1.398 Å, rel. 12
72.60 deg, 1.302 Å, rel. 10
73.31 deg, 1.291 Å, rel. 9
78.94 deg, 1.213 Å, rel. 7
89.61 deg, 1.094 Å, rel. 12

Structural model:
```
SmGdLu
1.0
-2.0591 2.0591 5.7107
2.0591 -2.0591 5.7107
2.0591 2.0591 -5.7107
Sm Gd Lu
1 1 1
Direct
0.0000 0.0000 0.0000
0.3215 0.3215 0.0000
0.6640 0.6640 0.0000
```

=====

Starting from a DFT-relaxed cell (GGA-PBE, Alexandria), the powder diffraction line list of GdLu2Sn was simulated for a wavelength of 1.5418 Å.
Kinematic intensities with the Lorentz-polarization factor, no thermal factor.

Main lines, low angle first (10° ≤ 2θ ≤ 90°):
32.57 deg, 2.749 Å, rel. 100
37.61 deg, 2.391 Å, rel. 34
38.12 deg, 2.361 Å, rel. 16
54.25 deg, 1.691 Å, rel. 12
54.63 deg, 1.680 Å, rel. 23
64.72 deg, 1.440 Å, rel. 28
65.40 deg, 1.427 Å, rel. 14
68.22 deg, 1.375 Å, rel. 12
80.29 deg, 1.196 Å, rel. 4
81.54 deg, 1.180 Å, rel. 2
89.35 deg, 1.096 Å, rel. 6
89.97 deg, 1.091 Å, rel. 12

Structural model:
```
GdLu2Sn
1.0
4.7827 0.0000 0.0000
0.0000 4.7827 0.0000
0.0000 0.0000 4.7220
Gd Lu Sn
1 2 1
Direct
0.0000 0.0000 0.0000
0.0000 0.5000 0.5000
0.5000 0.0000 0.5000
0.5000 0.5000 0.0000
```